[1]
Diffraction record for Lu2Ga2O5. The XRD peak list is calculated, not measured: it uses a crystal structure in the Materials Project, relaxed with GGA-PBE and λ = 1.5418 Å (Cu Kα).
Kinematic intensities with the Lorentz-polarization factor, no thermal factor.

Structure:
abc: 3.889 3.889 6.729
angles: 90.00 90.00 90.00
Space group P4/mmm (No. 123)
One atom of each set of equivalent atoms:
Lu (0.000, 0.000, 0.000)
Lu (0.000, 0.000, 0.500)
Ga (0.500, 0.500, 0.202)
O (0.000, 0.500, 0.234)
O (0.500, 0.500, 0.500)

Largest 12 diffraction maxima, in order of rising 2θ, 2θ from 5° to 70°:
(1 0 0), d 3.889, I = 24
(0 0 2), d 3.365, I = 8
(1 1 0), d 2.750, I = 60
(1 0 2), d 2.545, I = 100
(0 0 3), d 2.243, I = 2
(1 1 2), d 2.129, I = 27
(2 0 0), d 1.945, I = 40
(2 1 0), d 1.739, I = 8
(0 0 4), d 1.683, I = 13
(2 1 2), d 1.545, I = 53
(1 1 4), d 1.435, I = 11
(2 2 0), d 1.375, I = 13



[2]
Diffraction record for BaMg6Zr. The XRD peak list is calculated, not measured: it uses a crystal structure in the Materials Project, relaxed with GGA-PBE and λ = 1.5418 Å (Cu Kα).
Kinematic intensities with the Lorentz-polarization factor, no thermal factor.

Structure:
abc: 5.240 6.799 11.667
angles: 90.00 90.00 90.00
Space group Amm2 (No. 38)
One atom of each set of equivalent atoms:
Ba (0.000, 0.000, 0.000)
Mg (0.000, 0.000, 0.486)
Mg (0.000, 0.241, 0.252)
Mg (0.500, 0.000, 0.820)
Mg (0.500, 0.229, 0.583)
Zr (0.500, 0.000, 0.327)

Largest 12 diffraction maxima, in order of rising 2θ, 2θ from 5° to 70°:
(0 1 1), d 5.875, I = 29
(1 0 2), d 3.906, I = 97
(0 2 0), d 3.400, I = 15
(0 1 3), d 3.376, I = 29
(0 2 2), d 2.937, I = 22
(2 0 0), d 2.620, I = 35
(1 2 2), d 2.562, I = 100
(1 0 4), d 2.549, I = 45
(2 2 2), d 1.956, I = 20
(0 2 6), d 1.688, I = 19
(3 2 2), d 1.501, I = 18
(2 2 6), d 1.419, I = 19



[3]
Diffraction record for Zr3V9Ge10. The XRD peak list is calculated, not measured: it uses a crystal structure in the Materials Project, relaxed with GGA-PBE and λ = 1.5418 Å (Cu Kα).
Kinematic intensities with the Lorentz-polarization factor, no thermal factor.

Structure:
abc: 18.427 5.130 7.853
angles: 90.00 115.15 90.00
Space group Cm (No. 8)
One atom of each set of equivalent atoms:
Zr (0.000, 0.000, 0.000)
Zr (0.000, 0.500, 0.235)
Zr (0.284, 0.500, 0.290)
V (0.078, 0.500, 0.940)
V (0.079, 0.000, 0.453)
V (0.206, 0.000, 0.067)
V (0.207, 0.500, 0.580)
V (0.286, 0.000, 0.520)
V (0.332, 0.250, 0.951)
V (0.452, 0.251, 0.570)
Ge (0.077, 0.500, 0.611)
Ge (0.078, 0.000, 0.780)
Ge (0.144, 0.247, 0.264)
Ge (0.208, 0.500, 0.911)
Ge (0.210, 0.000, 0.732)
Ge (0.353, 0.000, 0.273)
Ge (0.354, 0.500, 0.676)
Ge (0.427, 0.000, 0.837)
Ge (0.430, 0.500, 0.253)

Largest 12 diffraction maxima, in order of rising 2θ, 2θ from 5° to 70°:
(0 2 0), d 2.565, I = 37
(0 0 3), d 2.368, I = 43
(7 1 -1), d 2.334, I = 46
(6 0 1), d 2.279, I = 100
(5 1 -3), d 2.246, I = 84
(4 2 -1), d 2.233, I = 78
(2 2 -2), d 2.147, I = 28
(7 1 1), d 1.876, I = 17
(7 1 -4), d 1.741, I = 14
(11 1 -2), d 1.593, I = 16
(7 3 -2), d 1.419, I = 13
(5 3 -3), d 1.411, I = 18



[4]
Diffraction record for SnSe. The XRD peak list is calculated, not measured: it uses a crystal structure in the Materials Project, relaxed with GGA-PBE and λ = 1.5418 Å (Cu Kα).
Kinematic intensities with the Lorentz-polarization factor, no thermal factor.

Structure:
abc: 6.065 6.065 6.065
angles: 90.00 90.00 90.00
Space group Fm-3m (No. 225)
One atom of each set of equivalent atoms:
Sn (0.000, 0.000, 0.000)
Se (0.000, 0.000, 0.500)

Largest 8 diffraction maxima, in order of rising 2θ, 2θ from 5° to 70°:
(1 1 1), d 3.502, I = 8
(2 0 0), d 3.033, I = 100
(2 2 0), d 2.144, I = 76
(3 1 1), d 1.829, I = 5
(2 2 2), d 1.751, I = 27
(4 0 0), d 1.516, I = 13
(3 3 1), d 1.391, I = 2
(4 2 0), d 1.356, I = 36